# 1
Structure and calculated X-ray powder pattern of K2OsNCl5 (a cell relaxed with GGA-PBE; a wavelength of 1.5418 Å).
Peak positions follow from Bragg's law for the DFT cell and can differ from measured ones.

Main lines, most intense first (10 to 90 degrees two-theta):
| two_theta | intensity |
| --- | --- |
| 15.91 | 100.0 |
| 15.59 | 97.8 |
| 25.72 | 44.9 |
| 36.07 | 43.7 |
| 32.70 | 42.8 |
| 18.40 | 39.8 |
| 28.07 | 27.5 |
| 17.81 | 25.6 |
| 29.82 | 24.0 |
| 49.47 | 24.0 |
| 29.56 | 24.0 |
| 26.56 | 19.3 |

Crystal structure
a b c (Å): 13.436 9.960 6.924
angles (deg): 90.00 90.00 90.00
Positions (direct):
K  0.145  0.001  0.170
K  0.145  0.499  0.170
K  0.355  0.501  0.670
K  0.355  0.999  0.670
K  0.645  0.001  0.330
K  0.645  0.499  0.330
K  0.855  0.501  0.830
K  0.855  0.999  0.830
Os  0.093  0.750  0.670
Os  0.407  0.250  0.170
Os  0.593  0.750  0.830
Os  0.907  0.250  0.330
N  0.003  0.250  0.482
N  0.497  0.750  0.982
N  0.503  0.250  0.018
N  0.997  0.750  0.518
Cl  0.000  0.250  0.035
Cl  0.000  0.750  0.965
Cl  0.106  0.511  0.691
Cl  0.106  0.989  0.691
Cl  0.220  0.750  0.428
Cl  0.248  0.750  0.903
Cl  0.252  0.250  0.403
Cl  0.280  0.250  0.928
Cl  0.394  0.011  0.191
Cl  0.394  0.489  0.191
Cl  0.500  0.250  0.465
Cl  0.500  0.750  0.535
Cl  0.606  0.511  0.809
Cl  0.606  0.989  0.809
Cl  0.720  0.750  0.072
Cl  0.748  0.750  0.597
Cl  0.752  0.250  0.097
Cl  0.780  0.250  0.572
Cl  0.894  0.011  0.309
Cl  0.894  0.489  0.309

***

# 2
Structure and calculated X-ray powder pattern of Nb4AgBi5O18 (a cell relaxed with GGA-PBE; a wavelength of 1.5418 Å).
Peak positions follow from Bragg's law for the DFT cell and can differ from measured ones.

Main lines, most intense first (10 to 90 degrees two-theta):
| two_theta | intensity |
| --- | --- |
| 28.55 | 100.0 |
| 28.80 | 98.0 |
| 31.92 | 37.1 |
| 32.14 | 33.8 |
| 48.51 | 25.4 |
| 35.53 | 24.3 |
| 48.66 | 21.1 |
| 46.26 | 19.2 |
| 59.63 | 19.0 |
| 45.59 | 18.3 |
| 14.02 | 17.9 |
| 55.12 | 16.8 |

Crystal structure
a b c (Å): 12.937 12.937 5.608
angles (deg): 90.17 90.17 155.14
Positions (direct):
Nb  0.084  0.916  0.000
Nb  0.411  0.582  0.506
Nb  0.582  0.411  0.506
Nb  0.916  0.084  0.000
Ag  0.997  0.997  0.512
Bi  0.175  0.774  0.551
Bi  0.338  0.738  0.051
Bi  0.481  0.481  0.051
Bi  0.738  0.338  0.051
Bi  0.774  0.175  0.551
O  0.019  0.515  0.275
O  0.084  0.084  0.958
O  0.095  0.779  0.976
O  0.119  0.302  0.680
O  0.229  0.401  0.171
O  0.302  0.119  0.680
O  0.401  0.229  0.171
O  0.421  0.737  0.466
O  0.445  0.445  0.447
O  0.495  0.997  0.776
O  0.515  0.019  0.275
O  0.644  0.780  0.769
O  0.730  0.866  0.261
O  0.737  0.421  0.466
O  0.779  0.095  0.976
O  0.780  0.644  0.769
O  0.866  0.730  0.261
O  0.997  0.495  0.776

***

# 3
Structure and calculated X-ray powder pattern of SrMg6CdO8 (a cell relaxed with GGA-PBE; a wavelength of 1.5418 Å).
Peak positions follow from Bragg's law for the DFT cell and can differ from measured ones.

Main lines, most intense first (10 to 90 degrees two-theta):
| two_theta | intensity |
| --- | --- |
| 39.56 | 100.0 |
| 34.26 | 63.1 |
| 19.48 | 58.8 |
| 57.66 | 58.3 |
| 27.91 | 49.9 |
| 40.19 | 47.1 |
| 57.18 | 30.3 |
| 19.79 | 28.7 |
| 72.19 | 27.7 |
| 27.69 | 25.4 |
| 68.38 | 20.6 |
| 49.10 | 20.6 |

Crystal structure
a b c (Å): 4.557 4.557 8.974
angles (deg): 90.00 90.00 90.00
Positions (direct):
Sr  0.000  0.000  0.000
Mg  0.000  0.500  0.257
Mg  0.000  0.500  0.743
Mg  0.500  0.000  0.257
Mg  0.500  0.000  0.743
Mg  0.500  0.500  0.000
Mg  0.500  0.500  0.500
Cd  0.000  0.000  0.500
O  0.000  0.000  0.258
O  0.000  0.000  0.742
O  0.000  0.500  0.000
O  0.000  0.500  0.500
O  0.500  0.000  0.000
O  0.500  0.000  0.500
O  0.500  0.500  0.253
O  0.500  0.500  0.747